For Pm3Tm3Ge4, a structure optimized by DFT (PBE) gives the calculated XRD peak list in this record (Cu Kα).
Neutral-atom scattering factors, no anomalous dispersion.

Largest 6 diffraction maxima, sorted by position, 10° ≤ 2θ ≤ 90°:
2θ/deg  intensity
26.44  210
31.33  657
33.53  1000
37.45  504
41.72  248
57.29  294

Atomic structure:
a = 4.330 Å, b = 7.594 Å, c = 7.594 Å
α = 89.99°, β = 90.00°, γ = 90.00°
Element x y z (fractional)
Pm  0.000  0.000  0.000
Pm  0.000  0.496  0.845
Pm  0.000  0.845  0.496
Tm  0.000  0.346  0.346
Tm  0.500  0.172  0.672
Tm  0.500  0.672  0.172
Ge  0.500  0.054  0.298
Ge  0.500  0.298  0.054
Ge  0.500  0.541  0.541
Ge  0.500  0.795  0.795